Structure and theoretical powder diffraction line list of LaYSc2Os (a cell relaxed with PBE; Cu Kα (λ = 1.5418 Å)).

Top 10 peaks for 10° ≤ 2θ ≤ 90°, low angle first:
(hkl)  two_theta  d_spacing  Rel. int.
1 0 0  17.21  5.151  40
1 0 1  23.80  3.738  100
1 1 0  24.44  3.642  92
0 0 2  32.98  2.716  52
2 0 0  34.83  2.576  90
1 1 2  41.47  2.177  47
2 1 1  42.63  2.121  44
2 0 2  48.72  1.869  69
2 2 0  50.09  1.821  32
2 2 2  61.28  1.513  34

Crystal structure
```
LaYSc2Os
1.0
5.1513 0.0000 0.0000
0.0000 5.1513 0.0000
0.0000 0.0000 5.4322
La Y Sc Os
1 1 2 1
direct
0.0000 0.0000 0.0000
0.5000 0.5000 0.0000
0.0000 0.5000 0.5000
0.5000 0.0000 0.5000
0.5000 0.5000 0.5000
```